This entry pairs a crystal structure of CsRb2V3F12 with its computed X-ray powder pattern. Radiation: a wavelength of 1.5418 Å. Structure: a crystal structure in Alexandria, relaxed with GGA+U.

Top 12 peaks for 2θ = 15–90°, sorted by position:
d (Å), 2θ (°), Rel. int.
3.827, 23.2, 31
3.314, 26.9, 31
3.282, 27.2, 100
3.266, 27.3, 19
3.132, 28.5, 28
2.505, 35.8, 20
2.424, 37.1, 15
2.250, 40.1, 17
2.088, 43.3, 35
1.939, 46.8, 17
1.914, 47.5, 34
1.657, 55.4, 26

Atomic structure:
Unit cell a=7.759 b=7.759 c=7.759 alpha=59.11 beta=59.11 gamma=59.11
Positions (direct):
Cs  0.000  0.000  0.000
Rb  0.375  0.375  0.375
Rb  0.625  0.625  0.625
V  0.000  0.000  0.500
V  0.000  0.500  0.000
V  0.500  0.000  0.000
F  0.106  0.723  0.723
F  0.128  0.128  0.538
F  0.128  0.538  0.128
F  0.277  0.277  0.894
F  0.277  0.894  0.277
F  0.462  0.872  0.872
F  0.538  0.128  0.128
F  0.723  0.106  0.723
F  0.723  0.723  0.106
F  0.872  0.462  0.872
F  0.872  0.872  0.462
F  0.894  0.277  0.277